(1)
# BaLaOs2O8
Theoretical PXRD pattern, Cu Kα, 1.54184 Å. Input: a structure optimized by DFT (PBE).
Lines closer than 0.1° are merged.

Cell and atoms:
```
data_BaLaOs2O8
_chemical_formula_sum 'Ba1 La1 Os2 O8'
_cell_length_a 6.0168
_cell_length_b 6.0168
_cell_length_c 7.8354
_cell_angle_alpha 90.00
_cell_angle_beta 90.00
_cell_angle_gamma 120.00
_symmetry_space_group_name_H-M 'P -3 m 1'
_symmetry_Int_Tables_number 164
_symmetry_space_group_name_Hall '-P 3 2"'
loop_
_atom_site_label
_atom_site_type_symbol
_atom_site_fract_x
_atom_site_fract_y
_atom_site_fract_z
_atom_site_occupancy
Ba1 Ba 0.0000 0.0000 0.0000 1
La1 La 0.0000 0.0000 0.5000 1
Os1 Os 0.3333 0.6667 0.7895 1
O1 O 0.1668 0.3336 0.7101 1
O2 O 0.3333 0.6667 0.0191 1
```

Most intense lines, 10° ≤ 2θ ≤ 80°, low angle first:
2θ/deg, I (rel.)
20.47, 100.0
28.50, 65.7
29.70, 68.5
38.56, 14.2
41.63, 32.8
47.61, 21.5
51.97, 25.7
52.70, 13.9
56.02, 13.0
61.66, 11.7
67.41, 11.2
69.30, 11.2

***

(2)
# Ba2LaPbO5
Theoretical PXRD pattern, Cu Kα, 1.54184 Å. Input: a structure optimized by DFT (PBE).
Lines closer than 0.1° are merged.

Cell and atoms:
```
data_Ba2LaPbO5
_chemical_formula_sum 'Ba8 La4 Pb4 O20'
_cell_length_a 3.8065
_cell_length_b 15.5324
_cell_length_c 11.7129
_cell_angle_alpha 90.00
_cell_angle_beta 90.00
_cell_angle_gamma 90.00
_symmetry_space_group_name_H-M 'C m c 21'
_symmetry_Int_Tables_number 36
loop_
_symmetry_equiv_pos_as_xyz
'x,y,z'
'-x,-y,z+1/2'
'-x,y,z'
'x,-y,z+1/2'
'x+1/2,y+1/2,z'
'-x+1/2,-y+1/2,z+1/2'
'-x+1/2,y+1/2,z'
'x+1/2,-y+1/2,z+1/2'
loop_
_atom_site_label
_atom_site_type_symbol
_atom_site_fract_x
_atom_site_fract_y
_atom_site_fract_z
_atom_site_occupancy
Ba1 Ba 0.0000 0.1168 0.0000 1
Ba2 Ba 0.0000 0.1343 0.5737 1
La1 La 0.0000 0.2210 0.2975 1
Pb1 Pb 0.0000 0.4855 0.7699 1
O1 O 0.0000 0.0586 0.3492 1
O2 O 0.0000 0.2806 0.9334 1
O3 O 0.0000 0.2983 0.6675 1
O4 O 0.0000 0.3722 0.3055 1
O5 O 0.0000 0.4964 0.0841 1
```

Most intense lines, 10° ≤ 2θ ≤ 80°, low angle first:
2θ/deg, I (rel.)
25.54, 26.4
27.56, 100.0
28.55, 85.9
29.12, 67.2
30.53, 35.6
33.38, 39.3
35.51, 24.3
42.69, 37.1
47.79, 21.8
48.94, 26.1
50.07, 34.9
56.06, 28.7

***

(3)
# BaLaRhO4
Theoretical PXRD pattern, Cu Kα, 1.54184 Å. Input: a structure optimized by DFT (PBE).
Lines closer than 0.1° are merged.

Cell and atoms:
```
data_BaLaRhO4
_chemical_formula_sum 'Ba2 La2 Rh2 O8'
_cell_length_a 4.0517
_cell_length_b 4.0517
_cell_length_c 12.8014
_cell_angle_alpha 90.00
_cell_angle_beta 90.00
_cell_angle_gamma 90.00
_symmetry_space_group_name_H-M 'I 4 m m'
_symmetry_Int_Tables_number 107
_symmetry_space_group_name_Hall 'I 4 -2'
loop_
_atom_site_label
_atom_site_type_symbol
_atom_site_fract_x
_atom_site_fract_y
_atom_site_fract_z
_atom_site_occupancy
Ba1 Ba 0.0000 0.0000 0.0000 1
La1 La 0.0000 0.0000 0.7181 1
Rh1 Rh 0.0000 0.0000 0.3618 1
O1 O 0.0000 0.0000 0.1984 1
O2 O 0.0000 0.0000 0.5327 1
O3 O 0.0000 0.5000 0.3370 1
```

Most intense lines, 10° ≤ 2θ ≤ 80°, low angle first:
2θ/deg, I (rel.)
30.42, 100.0
31.22, 68.6
41.73, 17.0
42.35, 24.4
44.73, 34.1
53.55, 18.9
55.06, 42.9
62.83, 9.7
63.30, 11.3
65.12, 10.5
73.57, 12.2
73.98, 11.6

***

Which formula does entry 1 have? BaLaOs2O8